La2TiTc2N6: simulated XRD peak list (λ = 1.5418 Å (Cu Kα)), based on a cell relaxed with PBE.

The 12 most intense peaks (2θ = 5–70°), most intense first:
2θ (°)  I_rel
30.06  100.0
32.65  58.8
55.05  28.6
34.44  25.1
16.41  24.0
44.97  23.8
53.39  19.6
62.49  16.3
60.08  13.7
48.29  12.4
66.65  8.9
41.57  7.1

Cell and atoms:
Unit cell a=5.9450 b=5.9450 c=16.2037 alpha=90.00 beta=90.00 gamma=120.00
Space group R-3m (No. 166, hexagonal axes)
One atom of each set of equivalent atoms:
La1 0.0000 0.0000 0.2054 [6 per cell]
Ti1 0.0000 0.0000 0.0000 [3 per cell]
Tc1 0.0000 0.0000 0.4309 [6 per cell]
N1 0.0251 0.5126 0.7471 [18 per cell]